# Ca3Fe3As4O16
Calculated powder diffraction line list, Cu Kα. Input: a GGA+U-relaxed structure.
Neutral-atom scattering factors, no anomalous dispersion.

```
data_Ca3Fe3As4O16
_symmetry_space_group_name_H-M 'P 1 21/c 1'
_symmetry_Int_Tables_number 14
_cell_length_a 9.197
_cell_length_b 5.197
_cell_length_c 17.423
_cell_angle_alpha 90.00
_cell_angle_beta 116.21
_cell_angle_gamma 90.00
loop_
_symmetry_equiv_pos_as_xyz
'x,y,z'
'-x,-y,-z'
'-x,y+1/2,-z+1/2'
'x,-y+1/2,z+1/2'
loop_
_atom_site_label
_atom_site_fract_x
_atom_site_fract_y
_atom_site_fract_z
Ca1 0.000 0.000 0.000
Ca2 0.307 0.040 0.269
Fe1 0.201 0.532 0.379
Fe2 0.500 0.000 0.500
As1 0.038 0.515 0.156
As2 0.438 0.511 0.599
O1 0.026 0.654 0.640
O2 0.092 0.146 0.589
O3 0.148 0.586 0.850
O4 0.189 0.047 0.758
O5 0.257 0.545 0.510
O6 0.418 0.203 0.916
O7 0.434 0.615 0.690
O8 0.484 0.704 0.895
```

Most intense lines, 2θ = 10–80°, in order of rising 2θ:
hkl 1 0 -2, 7.589 Å, 11.66 deg, intensity 74
hkl 0 1 1, 4.932 Å, 17.99 deg, intensity 33
hkl 2 0 0, 4.126 Å, 21.54 deg, intensity 41
hkl 0 0 4, 3.908 Å, 22.75 deg, intensity 33
hkl 1 1 -3, 3.835 Å, 23.19 deg, intensity 43
hkl 2 1 -1, 3.407 Å, 26.16 deg, intensity 95
hkl 1 1 3, 3.028 Å, 29.50 deg, intensity 79
hkl 1 1 -5, 2.889 Å, 30.95 deg, intensity 52
hkl 0 1 5, 2.679 Å, 33.45 deg, intensity 32
hkl 3 1 -3, 2.631 Å, 34.07 deg, intensity 100
hkl 0 2 0, 2.598 Å, 34.52 deg, intensity 72
hkl 3 0 2, 2.296 Å, 39.23 deg, intensity 29